Structure and calculated powder diffractogram of MnNi3P (a crystal structure in Alexandria, relaxed with PBE; a wavelength of 1.5418 Å).
No peak broadening, texture or thermal motion is included.

Crystal structure
a = 3.546 Å, b = 3.546 Å, c = 5.001 Å
α = 90.00°, β = 90.00°, γ = 90.00°
Fractional positions:
Mn (0.000, 0.000, 0.000)
Ni (0.000, 0.500, 0.481)
Ni (0.500, 0.000, 0.481)
Ni (0.500, 0.500, 0.150)
P (0.500, 0.500, 0.737)

Most intense lines, 10° ≤ 2θ ≤ 90°, in order of rising 2θ:
d = 5.001 Å, 2θ = 17.7°, rel. 11
d = 2.501 Å, 2θ = 35.9°, rel. 13
d = 2.242 Å, 2θ = 40.2°, rel. 100
d = 2.044 Å, 2θ = 44.3°, rel. 24
d = 1.772 Å, 2θ = 51.6°, rel. 60
d = 1.094 Å, 2θ = 89.6°, rel. 17

=====

Structure and calculated powder diffractogram of Mn2Ni21P6 (a crystal structure in Alexandria, relaxed with PBE; a wavelength of 1.5418 Å).
No peak broadening, texture or thermal motion is included.

Crystal structure
a = 7.800 Å, b = 7.800 Å, c = 7.800 Å
α = 60.00°, β = 60.00°, γ = 60.00°
Fractional positions:
Mn (0.250, 0.250, 0.250)
Mn (0.750, 0.750, 0.750)
Ni (0.000, 0.000, 0.000)
Ni (0.000, 0.000, 0.348)
Ni (0.000, 0.000, 0.652)
Ni (0.000, 0.348, 0.000)
Ni (0.000, 0.348, 0.652)
Ni (0.000, 0.652, 0.000)
Ni (0.000, 0.652, 0.348)
Ni (0.147, 0.618, 0.618)
Ni (0.348, 0.000, 0.000)
Ni (0.348, 0.000, 0.652)
Ni (0.348, 0.652, 0.000)
Ni (0.382, 0.382, 0.382)
Ni (0.382, 0.382, 0.853)
Ni (0.382, 0.853, 0.382)
Ni (0.618, 0.147, 0.618)
Ni (0.618, 0.618, 0.147)
Ni (0.618, 0.618, 0.618)
Ni (0.652, 0.000, 0.000)
Ni (0.652, 0.000, 0.348)
Ni (0.652, 0.348, 0.000)
Ni (0.853, 0.382, 0.382)
P (0.264, 0.264, 0.736)
P (0.264, 0.736, 0.264)
P (0.264, 0.736, 0.736)
P (0.736, 0.264, 0.264)
P (0.736, 0.264, 0.736)
P (0.736, 0.736, 0.264)

Most intense lines, 10° ≤ 2θ ≤ 90°, in order of rising 2θ:
d = 2.252 Å, 2θ = 40.0°, rel. 19
d = 2.123 Å, 2θ = 42.6°, rel. 100
d = 1.950 Å, 2θ = 46.6°, rel. 33
d = 1.865 Å, 2θ = 48.8°, rel. 30
d = 1.300 Å, 2θ = 72.7°, rel. 19
d = 1.126 Å, 2θ = 86.4°, rel. 19

=====

Structure and calculated powder diffractogram of Mn3Ni20P6 (a crystal structure in Alexandria, relaxed with PBE; a wavelength of 1.5418 Å).
No peak broadening, texture or thermal motion is included.

Crystal structure
a = 7.817 Å, b = 7.817 Å, c = 7.817 Å
α = 60.00°, β = 60.00°, γ = 60.00°
Fractional positions:
Mn (0.000, 0.000, 0.000)
Mn (0.250, 0.250, 0.250)
Mn (0.750, 0.750, 0.750)
Ni (0.000, 0.000, 0.348)
Ni (0.000, 0.000, 0.652)
Ni (0.000, 0.348, 0.000)
Ni (0.000, 0.348, 0.652)
Ni (0.000, 0.652, 0.000)
Ni (0.000, 0.652, 0.348)
Ni (0.147, 0.618, 0.618)
Ni (0.348, 0.000, 0.000)
Ni (0.348, 0.000, 0.652)
Ni (0.348, 0.652, 0.000)
Ni (0.382, 0.382, 0.382)
Ni (0.382, 0.382, 0.853)
Ni (0.382, 0.853, 0.382)
Ni (0.618, 0.147, 0.618)
Ni (0.618, 0.618, 0.147)
Ni (0.618, 0.618, 0.618)
Ni (0.652, 0.000, 0.000)
Ni (0.652, 0.000, 0.348)
Ni (0.652, 0.348, 0.000)
Ni (0.853, 0.382, 0.382)
P (0.265, 0.265, 0.735)
P (0.265, 0.735, 0.265)
P (0.265, 0.735, 0.735)
P (0.735, 0.265, 0.265)
P (0.735, 0.265, 0.735)
P (0.735, 0.735, 0.265)

Most intense lines, 10° ≤ 2θ ≤ 90°, in order of rising 2θ:
d = 2.256 Å, 2θ = 40.0°, rel. 18
d = 2.127 Å, 2θ = 42.5°, rel. 100
d = 1.954 Å, 2θ = 46.5°, rel. 33
d = 1.869 Å, 2θ = 48.7°, rel. 33
d = 1.303 Å, 2θ = 72.6°, rel. 19
d = 1.128 Å, 2θ = 86.2°, rel. 19

=====

Structure and calculated powder diffractogram of MnNi7Te2P2 (a crystal structure in Alexandria, relaxed with PBE; a wavelength of 1.5418 Å).
No peak broadening, texture or thermal motion is included.

Crystal structure
a = 13.658 Å, b = 13.658 Å, c = 13.658 Å
α = 164.63°, β = 164.63°, γ = 21.81°
Fractional positions:
Mn (0.000, 0.000, 0.000)
Ni (0.067, 0.567, 0.500)
Ni (0.304, 0.304, 0.000)
Ni (0.433, 0.933, 0.500)
Ni (0.500, 0.500, 0.000)
Ni (0.567, 0.067, 0.500)
Ni (0.696, 0.696, 0.000)
Ni (0.933, 0.433, 0.500)
Te (0.207, 0.207, 0.000)
Te (0.793, 0.793, 0.000)
P (0.387, 0.387, 0.000)
P (0.613, 0.613, 0.000)

Most intense lines, 10° ≤ 2θ ≤ 90°, in order of rising 2θ:
d = 6.706 Å, 2θ = 13.2°, rel. 53
d = 3.353 Å, 2θ = 26.6°, rel. 39
d = 2.537 Å, 2θ = 35.4°, rel. 81
d = 2.237 Å, 2θ = 40.3°, rel. 65
d = 1.861 Å, 2θ = 49.0°, rel. 100
d = 1.827 Å, 2θ = 49.9°, rel. 76

=====

Structure and calculated powder diffractogram of YMnNiP2 (a crystal structure in Alexandria, relaxed with PBE; a wavelength of 1.5418 Å).
No peak broadening, texture or thermal motion is included.

Crystal structure
a = 3.823 Å, b = 3.823 Å, c = 9.754 Å
α = 90.00°, β = 90.00°, γ = 90.00°
Fractional positions:
Y (0.000, 0.000, 0.000)
Y (0.500, 0.500, 0.500)
Mn (0.000, 0.500, 0.250)
Mn (0.500, 0.000, 0.750)
Ni (0.000, 0.500, 0.750)
Ni (0.500, 0.000, 0.250)
P (0.000, 0.000, 0.373)
P (0.000, 0.000, 0.627)
P (0.500, 0.500, 0.127)
P (0.500, 0.500, 0.873)

Most intense lines, 10° ≤ 2θ ≤ 90°, in order of rising 2θ:
d = 2.477 Å, 2θ = 36.3°, rel. 48
d = 2.364 Å, 2θ = 38.1°, rel. 100
d = 1.911 Å, 2θ = 47.6°, rel. 43
d = 1.513 Å, 2θ = 61.3°, rel. 19
d = 1.393 Å, 2θ = 67.2°, rel. 18
d = 1.173 Å, 2θ = 82.1°, rel. 19

=====

Structure and calculated powder diffractogram of Pa3MnNi8 (a crystal structure in Alexandria, relaxed with PBE; a wavelength of 1.5418 Å).
No peak broadening, texture or thermal motion is included.

Crystal structure
a = 8.680 Å, b = 8.680 Å, c = 8.680 Å
α = 33.10°, β = 33.10°, γ = 33.10°
Fractional positions:
Pa (0.000, 0.000, 0.000)
Pa (0.129, 0.129, 0.129)
Pa (0.511, 0.511, 0.511)
Mn (0.635, 0.635, 0.635)
Ni (0.064, 0.568, 0.568)
Ni (0.071, 0.071, 0.568)
Ni (0.071, 0.568, 0.071)
Ni (0.318, 0.318, 0.318)
Ni (0.568, 0.064, 0.568)
Ni (0.568, 0.071, 0.071)
Ni (0.568, 0.568, 0.064)
Ni (0.818, 0.818, 0.818)

Most intense lines, 10° ≤ 2θ ≤ 90°, in order of rising 2θ:
d = 4.044 Å, 2θ = 22.0°, rel. 35
d = 2.497 Å, 2θ = 36.0°, rel. 68
d = 2.473 Å, 2θ = 36.3°, rel. 70
d = 2.132 Å, 2θ = 42.4°, rel. 53
d = 2.117 Å, 2θ = 42.7°, rel. 100
d = 2.110 Å, 2θ = 42.9°, rel. 51

=====

Structure and calculated powder diffractogram of PaMn2Si2Ni (a crystal structure in Alexandria, relaxed with PBE; a wavelength of 1.5418 Å).
No peak broadening, texture or thermal motion is included.

Crystal structure
a = 4.298 Å, b = 4.298 Å, c = 5.012 Å
α = 90.00°, β = 90.00°, γ = 90.00°
Fractional positions:
Pa (0.000, 0.000, 0.000)
Mn (0.500, 0.500, 0.214)
Mn (0.500, 0.500, 0.786)
Si (0.000, 0.500, 0.500)
Si (0.500, 0.000, 0.500)
Ni (0.000, 0.000, 0.500)

Most intense lines, 10° ≤ 2θ ≤ 90°, in order of rising 2θ:
d = 4.298 Å, 2θ = 20.7°, rel. 60
d = 3.039 Å, 2θ = 29.4°, rel. 100
d = 2.599 Å, 2θ = 34.5°, rel. 65
d = 2.165 Å, 2θ = 41.7°, rel. 99
d = 2.149 Å, 2θ = 42.0°, rel. 67
d = 1.525 Å, 2θ = 60.7°, rel. 64

=====

Structure and calculated powder diffractogram of MnNi7Pd12 (a crystal structure in Alexandria, relaxed with PBE; a wavelength of 1.5418 Å).
No peak broadening, texture or thermal motion is included.

Crystal structure
a = 6.781 Å, b = 6.781 Å, c = 6.781 Å
α = 103.46°, β = 103.46°, γ = 103.46°
Fractional positions:
Mn (0.000, 0.000, 0.000)
Ni (0.085, 0.090, 0.684)
Ni (0.090, 0.684, 0.085)
Ni (0.316, 0.915, 0.910)
Ni (0.500, 0.500, 0.500)
Ni (0.684, 0.085, 0.090)
Ni (0.910, 0.316, 0.915)
Ni (0.915, 0.910, 0.316)
Pd (0.078, 0.328, 0.333)
Pd (0.235, 0.763, 0.496)
Pd (0.237, 0.504, 0.765)
Pd (0.328, 0.333, 0.078)
Pd (0.333, 0.078, 0.328)
Pd (0.496, 0.235, 0.763)
Pd (0.504, 0.765, 0.237)
Pd (0.667, 0.922, 0.672)
Pd (0.672, 0.667, 0.922)
Pd (0.763, 0.496, 0.235)
Pd (0.765, 0.237, 0.504)
Pd (0.922, 0.672, 0.667)

Most intense lines, 10° ≤ 2θ ≤ 90°, in order of rising 2θ:
d = 2.227 Å, 2θ = 40.5°, rel. 100
d = 2.197 Å, 2θ = 41.1°, rel. 47
d = 2.093 Å, 2θ = 43.2°, rel. 89
d = 2.031 Å, 2θ = 44.6°, rel. 44
d = 1.331 Å, 2θ = 70.8°, rel. 16
d = 1.238 Å, 2θ = 77.0°, rel. 20